# Cu3Mo4O12
Simulated X-ray diffraction stick pattern, CuKα. Input: a cell relaxed with GGA+U.
Kinematic intensities with the Lorentz-polarization factor, no thermal factor.

Atomic structure:
```
data_Cu3Mo4O12
_chemical_formula_sum 'Cu3 Mo4 O12'
_cell_length_a 6.559
_cell_length_b 6.567
_cell_length_c 6.575
_cell_angle_alpha 109.52
_cell_angle_beta 109.41
_cell_angle_gamma 109.37
_space_group_name_H-M_alt 'P 1'
_space_group_IT_number 1
loop_
_space_group_symop_operation_xyz
'x,y,z'
loop_
_atom_site_label
_atom_site_fract_x
_atom_site_fract_y
_atom_site_fract_z
Cu1 0.000 0.000 0.000
Cu2 0.000 0.500 0.500
Cu3 0.500 0.000 0.500
Mo1 0.000 0.000 0.500
Mo2 0.000 0.500 0.000
Mo3 0.500 0.000 0.000
Mo4 0.500 0.500 0.500
O1 0.007 0.311 0.680
O2 0.182 0.368 0.175
O3 0.185 0.008 0.816
O4 0.322 0.192 0.508
O5 0.329 0.821 0.133
O6 0.366 0.686 0.693
O7 0.634 0.314 0.307
O8 0.671 0.179 0.867
O9 0.678 0.808 0.492
O10 0.815 0.992 0.184
O11 0.818 0.632 0.825
O12 0.993 0.689 0.320
```

Top 10 peaks for 2θ = 5–70°, by angle:
| 2θ/deg | d [Å] | Rel. int. | h k l |
| --- | --- | --- | --- |
| 16.5 | 5.365 | 14.2 | 0 1 0 |
| 23.5 | 3.793 | 22.8 | -1 1 1 |
| 28.8 | 3.097 | 8.7 | 2 -1 0 |
| 33.4 | 2.683 | 100.0 | 2 0 0 |
| 33.5 | 2.678 | 19.8 | 2 -2 0 |
| 37.5 | 2.400 | 4.9 | 2 -1 1 |
| 48.0 | 1.897 | 30.1 | -2 2 2 |
| 54.0 | 1.697 | 6.7 | 1 -3 3 |
| 59.7 | 1.550 | 33.5 | 2 2 -4 |
| 59.8 | 1.547 | 23.8 | 2 -4 0 |